# 1
Structure and simulated powder diffractogram of Nd2Zn2I (a cell relaxed with PBE; CuKα).

Cell and atoms:
abc: 4.3992 4.3992 8.1123
angles: 90.00 90.00 120.00
Fractional positions:
Nd (0.0000, 0.0000, 0.2262)
Nd (0.0000, 0.0000, 0.7738)
Zn (0.3333, 0.6667, 0.0000)
Zn (0.6667, 0.3333, 0.0000)
I (0.6667, 0.3333, 0.5000)

Most intense lines, 10° ≤ 2θ ≤ 90°, low angle first:
23.35°, I 22.4; 25.84°, I 12.8; 32.24°, I 100.0; 40.93°, I 8.6; 41.03°, I 44.3; 44.68°, I 9.6; 53.12°, I 24.1; 62.26°, I 24.9; 69.24°, I 21.5; 74.73°, I 10.2


# 2
Structure and simulated powder diffractogram of Rb2NaFeC6N6 (a cell relaxed with PBE; CuKα).

Cell and atoms:
abc: 7.1670 7.6519 12.5956
angles: 90.00 124.14 90.00
Fractional positions:
Rb (0.2269, 0.0718, 0.2494)
Rb (0.2269, 0.4282, 0.7494)
Rb (0.7731, 0.5718, 0.2506)
Rb (0.7731, 0.9282, 0.7506)
Na (0.0000, 0.0000, 0.5000)
Na (0.0000, 0.5000, 0.0000)
Fe (0.5000, 0.0000, 0.0000)
Fe (0.5000, 0.5000, 0.5000)
C (0.2502, 0.1348, 0.9675)
C (0.2502, 0.3652, 0.4675)
C (0.3281, 0.7086, 0.4611)
C (0.3281, 0.7914, 0.9611)
C (0.3969, 0.0190, 0.8254)
C (0.3969, 0.4810, 0.3254)
C (0.6031, 0.5190, 0.6746)
C (0.6031, 0.9810, 0.1746)
C (0.6719, 0.2086, 0.0389)
C (0.6719, 0.2914, 0.5389)
C (0.7498, 0.6348, 0.5325)
C (0.7498, 0.8652, 0.0325)
N (0.0939, 0.2182, 0.9452)
N (0.0939, 0.2818, 0.4452)
N (0.2199, 0.6634, 0.9359)
N (0.2199, 0.8366, 0.4359)
N (0.3328, 0.0344, 0.7170)
N (0.3328, 0.4656, 0.2170)
N (0.6672, 0.5344, 0.7830)
N (0.6672, 0.9656, 0.2830)
N (0.7801, 0.1634, 0.5641)
N (0.7801, 0.3366, 0.0641)
N (0.9061, 0.7182, 0.5548)
N (0.9061, 0.7818, 0.0548)

Most intense lines, 10° ≤ 2θ ≤ 90°, low angle first:
23.25°, I 39.4; 24.02°, I 100.0; 24.19°, I 98.4; 24.83°, I 68.9; 28.72°, I 31.0; 34.29°, I 46.7; 34.41°, I 40.6; 38.44°, I 51.1; 43.14°, I 43.7; 43.46°, I 30.2


# 3
Structure and simulated powder diffractogram of La2Zr3Zn2 (a cell relaxed with PBE; CuKα).

Cell and atoms:
abc: 8.0933 8.0933 8.0933
angles: 37.08 37.08 37.08
Fractional positions:
La (0.0000, 0.0000, 0.0000)
La (0.4370, 0.4370, 0.4370)
Zr (0.2575, 0.2575, 0.2575)
Zr (0.5847, 0.5847, 0.5847)
Zr (0.8548, 0.8548, 0.8548)
Zn (0.1382, 0.1382, 0.1382)
Zn (0.7203, 0.7203, 0.7203)

Most intense lines, 10° ≤ 2θ ≤ 90°, low angle first:
28.13°, I 17.5; 34.31°, I 78.7; 34.86°, I 100.0; 37.72°, I 7.9; 49.72°, I 27.0; 62.16°, I 27.1; 62.51°, I 17.7; 73.61°, I 10.7; 82.82°, I 8.9; 83.79°, I 11.5


# 4
Structure and simulated powder diffractogram of Sn8Os2Se (a cell relaxed with PBE; CuKα).

Cell and atoms:
abc: 10.2807 10.2807 10.1014
angles: 90.00 90.00 90.00
Fractional positions:
Sn (0.0000, 0.0000, 0.1550)
Sn (0.0000, 0.0000, 0.8450)
Sn (0.0553, 0.3000, 0.3128)
Sn (0.0553, 0.3000, 0.6872)
Sn (0.0932, 0.9068, 0.5000)
Sn (0.2000, 0.5553, 0.1872)
Sn (0.2000, 0.5553, 0.8128)
Sn (0.2024, 0.7976, 0.0000)
Sn (0.2038, 0.2038, 0.0000)
Sn (0.2962, 0.7038, 0.5000)
Sn (0.2976, 0.2976, 0.5000)
Sn (0.3000, 0.0553, 0.3128)
Sn (0.3000, 0.0553, 0.6872)
Sn (0.4068, 0.4068, 0.0000)
Sn (0.4447, 0.8000, 0.1872)
Sn (0.4447, 0.8000, 0.8128)
Sn (0.5000, 0.5000, 0.3450)
Sn (0.5000, 0.5000, 0.6550)
Sn (0.5553, 0.2000, 0.1872)
Sn (0.5553, 0.2000, 0.8128)
Sn (0.5932, 0.5932, 0.0000)
Sn (0.7000, 0.9447, 0.3128)
Sn (0.7000, 0.9447, 0.6872)
Sn (0.7024, 0.7024, 0.5000)
Sn (0.7038, 0.2962, 0.5000)
Sn (0.7962, 0.7962, 0.0000)
Sn (0.7976, 0.2024, 0.0000)
Sn (0.8000, 0.4447, 0.1872)
Sn (0.8000, 0.4447, 0.8128)
Sn (0.9068, 0.0932, 0.5000)
Sn (0.9447, 0.7000, 0.3128)
Sn (0.9447, 0.7000, 0.6872)
Os (0.1791, 0.8209, 0.2618)
Os (0.1791, 0.8209, 0.7382)
Os (0.3209, 0.3209, 0.2382)
Os (0.3209, 0.3209, 0.7618)
Os (0.6791, 0.6791, 0.2382)
Os (0.6791, 0.6791, 0.7618)
Os (0.8209, 0.1791, 0.2618)
Os (0.8209, 0.1791, 0.7382)
Se (0.0000, 0.5000, 0.0000)
Se (0.0000, 0.5000, 0.5000)
Se (0.5000, 0.0000, 0.0000)
Se (0.5000, 0.0000, 0.5000)

Most intense lines, 10° ≤ 2θ ≤ 90°, low angle first:
19.31°, I 44.0; 32.97°, I 100.0; 36.02°, I 63.5; 37.11°, I 54.1; 40.34°, I 93.2; 40.77°, I 25.9; 41.33°, I 27.0; 44.99°, I 27.8; 45.48°, I 29.5; 51.83°, I 29.2


# 5
Structure and simulated powder diffractogram of Dy3MgZn2Ir2Pd (a cell relaxed with PBE; CuKα).

Cell and atoms:
abc: 3.9072 7.2725 7.2725
angles: 120.32 90.00 90.00
Fractional positions:
Dy (0.0000, 0.0000, 0.0000)
Dy (0.0000, 0.1840, 0.6077)
Dy (0.0000, 0.6077, 0.1840)
Mg (0.5000, 0.3557, 0.3557)
Zn (0.5000, 0.5928, 0.8509)
Zn (0.5000, 0.8509, 0.5928)
Ir (0.5000, 0.2663, 0.9357)
Ir (0.5000, 0.9357, 0.2663)
Pd (0.0000, 0.6065, 0.6065)

Most intense lines, 10° ≤ 2θ ≤ 90°, low angle first:
14.08°, I 25.5; 24.48°, I 19.1; 33.71°, I 100.0; 36.61°, I 45.3; 36.73°, I 55.7; 37.81°, I 21.8; 43.24°, I 28.2; 46.48°, I 25.2; 65.35°, I 16.5; 69.36°, I 17.2


# 6
Structure and simulated powder diffractogram of PrAl3Br12 (a cell relaxed with PBE; CuKα).

Cell and atoms:
abc: 10.6331 10.6331 18.8109
angles: 90.00 90.00 120.00
Fractional positions:
Pr (0.0000, 0.7323, 0.1667)
Pr (0.2677, 0.2677, 0.5000)
Pr (0.7323, 0.0000, 0.8333)
Al (0.0000, 0.0985, 0.6667)
Al (0.0985, 0.0000, 0.3333)
Al (0.3039, 0.6354, 0.2224)
Al (0.3315, 0.6961, 0.8891)
Al (0.3646, 0.6685, 0.5558)
Al (0.6354, 0.3039, 0.7776)
Al (0.6685, 0.3646, 0.4442)
Al (0.6961, 0.3315, 0.1109)
Al (0.9015, 0.9015, 0.0000)
Br (0.0319, 0.2360, 0.7688)
Br (0.0710, 0.1969, 0.3643)
Br (0.0806, 0.5869, 0.2791)
Br (0.1259, 0.9290, 0.0309)
Br (0.1378, 0.7136, 0.8514)
Br (0.1969, 0.0710, 0.6357)
Br (0.2041, 0.9681, 0.4354)
Br (0.2187, 0.7150, 0.6261)
Br (0.2302, 0.5231, 0.4568)
Br (0.2360, 0.0319, 0.2312)
Br (0.2850, 0.5037, 0.9594)
Br (0.2864, 0.4241, 0.1847)
Br (0.2929, 0.7698, 0.1235)
Br (0.4131, 0.4937, 0.6125)
Br (0.4241, 0.2864, 0.8153)
Br (0.4769, 0.7071, 0.7902)
Br (0.4937, 0.4131, 0.3875)
Br (0.4963, 0.7813, 0.2927)
Br (0.5037, 0.2850, 0.0406)
Br (0.5063, 0.9194, 0.9458)
Br (0.5231, 0.2302, 0.5432)
Br (0.5759, 0.8622, 0.5181)
Br (0.5869, 0.0806, 0.7209)
Br (0.7071, 0.4769, 0.2098)
Br (0.7136, 0.1378, 0.1486)
Br (0.7150, 0.2187, 0.3739)
Br (0.7640, 0.7959, 0.1021)
Br (0.7698, 0.2929, 0.8765)
Br (0.7813, 0.4963, 0.7073)
Br (0.7959, 0.7640, 0.8979)
Br (0.8031, 0.8741, 0.6976)
Br (0.8622, 0.5759, 0.4819)
Br (0.8741, 0.8031, 0.3024)
Br (0.9194, 0.5063, 0.0542)
Br (0.9290, 0.1259, 0.9691)
Br (0.9681, 0.2041, 0.5646)

Most intense lines, 10° ≤ 2θ ≤ 90°, low angle first:
10.70°, I 100.0; 25.59°, I 39.0; 26.04°, I 38.5; 27.10°, I 35.1; 27.32°, I 40.4; 29.08°, I 32.3; 29.35°, I 35.9; 30.66°, I 58.8; 31.99°, I 33.3; 35.09°, I 35.2


Please write out number 1 again, unchanged.
Structure and simulated powder diffractogram of Nd2Zn2I (a cell relaxed with PBE; CuKα).

Cell and atoms:
abc: 4.3992 4.3992 8.1123
angles: 90.00 90.00 120.00
Fractional positions:
Nd (0.0000, 0.0000, 0.2262)
Nd (0.0000, 0.0000, 0.7738)
Zn (0.3333, 0.6667, 0.0000)
Zn (0.6667, 0.3333, 0.0000)
I (0.6667, 0.3333, 0.5000)

Most intense lines, 10° ≤ 2θ ≤ 90°, low angle first:
23.35°, I 22.4; 25.84°, I 12.8; 32.24°, I 100.0; 40.93°, I 8.6; 41.03°, I 44.3; 44.68°, I 9.6; 53.12°, I 24.1; 62.26°, I 24.9; 69.24°, I 21.5; 74.73°, I 10.2


Copy entry 3 word for word.
Structure and simulated powder diffractogram of La2Zr3Zn2 (a cell relaxed with PBE; CuKα).

Cell and atoms:
abc: 8.0933 8.0933 8.0933
angles: 37.08 37.08 37.08
Fractional positions:
La (0.0000, 0.0000, 0.0000)
La (0.4370, 0.4370, 0.4370)
Zr (0.2575, 0.2575, 0.2575)
Zr (0.5847, 0.5847, 0.5847)
Zr (0.8548, 0.8548, 0.8548)
Zn (0.1382, 0.1382, 0.1382)
Zn (0.7203, 0.7203, 0.7203)

Most intense lines, 10° ≤ 2θ ≤ 90°, low angle first:
28.13°, I 17.5; 34.31°, I 78.7; 34.86°, I 100.0; 37.72°, I 7.9; 49.72°, I 27.0; 62.16°, I 27.1; 62.51°, I 17.7; 73.61°, I 10.7; 82.82°, I 8.9; 83.79°, I 11.5


- What is the formula in the second record?
  Rb2NaFeC6N6